This entry pairs a crystal structure of Ce7Ti4Se12O6 with its calculated X-ray diffraction stick pattern. Radiation: Cu Kα. Structure: a cell relaxed with GGA-PBE.
Intensities are scaled so that the largest is 100.

The 10 most intense peaks (5 to 70 degrees two-theta), sorted by position:
| 2θ/deg | d (Å) | I (rel.) | h k l |
| --- | --- | --- | --- |
| 25.17 | 3.538 | 30.4 | 8 0 0 |
| 29.19 | 3.060 | 72.6 | 5 1 -1 |
| 30.66 | 2.916 | 30.8 | 6 0 3 |
| 32.36 | 2.767 | 29.2 | 5 1 -2 |
| 32.70 | 2.738 | 44.1 | 2 0 4 |
| 33.15 | 2.702 | 94.7 | 7 1 1 |
| 34.83 | 2.576 | 100.0 | 3 1 -3 |
| 37.24 | 2.414 | 28.2 | 5 1 3 |
| 41.06 | 2.198 | 27.6 | 8 0 -4 |
| 47.28 | 1.922 | 52.1 | 0 2 0 |

Atomic structure:
```
data_Ce7Ti4Se12O6
_space_group_name_H-M_alt 'C 1 m 1'
_space_group_IT_number 8
_cell_length_a 28.3080
_cell_length_b 3.8447
_cell_length_c 11.1765
_cell_angle_alpha 90.00
_cell_angle_beta 90.33
_cell_angle_gamma 90.00
loop_
_space_group_symop_operation_xyz
'x,y,z'
'x,-y,z'
'x+1/2,y+1/2,z'
'x+1/2,-y+1/2,z'
loop_
_atom_site_label
_atom_site_fract_x
_atom_site_fract_y
_atom_site_fract_z
Ce1 0.0000 0.0000 0.0000
Ce2 0.0099 0.5000 0.5028
Ce3 0.1195 0.5000 0.9697
Ce4 0.1308 0.0000 0.4651
Ce5 0.2601 0.5000 0.8156
Ce6 0.3618 0.0000 0.6580
Ce7 0.3838 0.5000 0.2782
Ti1 0.0626 0.5000 0.2346
Ti2 0.0643 0.0000 0.7349
Ti3 0.2704 0.5000 0.5024
Ti4 0.3504 0.0000 0.9669
Se1 0.9999 0.5000 0.7743
Se2 0.1224 0.0000 0.1879
Se3 0.1272 0.5000 0.6948
Se4 0.1989 0.0000 0.9422
Se5 0.2016 0.5000 0.3669
Se6 0.2247 0.0000 0.6193
Se7 0.3086 0.5000 0.0803
Se8 0.3186 0.0000 0.3945
Se9 0.4005 0.5000 0.8538
Se10 0.4235 0.0000 0.1081
Se11 0.4255 0.5000 0.5253
Se12 0.4991 0.5000 0.2835
O1 0.0401 0.5000 0.0658
O2 0.0480 0.0000 0.5646
O3 0.0788 0.0000 0.9062
O4 0.0844 0.5000 0.4016
O5 0.3088 0.0000 0.8316
O6 0.3146 0.5000 0.6406
```